The following is a calculated X-ray powder pattern of LaSm3Fe4O12. It was derived from a cell relaxed with GGA+U, using λ = 1.5418 Å (Cu Kα).

Principal peaks in the range 2θ = 10–80°, low angle first:
- 22.52°, intensity 16, hkl 1 0 1
- 25.27°, intensity 16, hkl 1 1 -1
- 31.41°, intensity 20, hkl 0 0 2
- 32.21°, intensity 100, hkl 1 2 -1
- 32.71°, intensity 25, hkl 2 0 0
- 45.98°, intensity 21, hkl 2 0 2
- 46.42°, intensity 15, hkl 0 4 0
- 52.32°, intensity 15, hkl 1 1 3
- 57.94°, intensity 12, hkl 2 4 0
- 58.07°, intensity 22, hkl 3 2 1

Crystal structure
```
data_LaSm3Fe4O12
_cell_length_a 5.4760
_cell_length_b 7.8247
_cell_length_c 5.6963
_cell_angle_alpha 90.00
_cell_angle_beta 90.06
_cell_angle_gamma 90.00
_space_group_name_H-M_alt 'P 1 m 1'
_space_group_IT_number 6
_space_group_name_Hall 'P -2y'
loop_
_atom_site_label
_atom_site_type_symbol
_atom_site_fract_x
_atom_site_fract_y
_atom_site_fract_z
La1 La 0.0000 0.0000 0.0000
Sm1 Sm 0.0267 0.5000 0.1150
Sm2 Sm 0.4981 0.5000 0.6115
Sm3 Sm 0.5267 0.0000 0.4915
Fe1 Fe 0.0111 0.2520 0.5527
Fe2 Fe 0.5124 0.2527 0.0508
O1 O 0.1120 0.0000 0.5746
O2 O 0.2103 0.3046 0.8522
O3 O 0.3105 0.3039 0.3500
O4 O 0.4277 0.0000 0.0832
O5 O 0.6149 0.5000 0.0156
O6 O 0.7058 0.2009 0.7457
O7 O 0.8097 0.2041 0.2540
O8 O 0.9108 0.5000 0.5193
```

***

The following is a calculated X-ray powder pattern of Li3Mn4B4O12. It was derived from a cell relaxed with GGA+U, using λ = 1.5418 Å (Cu Kα).

Principal peaks in the range 2θ = 10–80°, low angle first:
- 20.28°, intensity 100, hkl 1 -1 0
- 20.70°, intensity 27, hkl 0 1 -2
- 21.99°, intensity 52, hkl 0 2 0
- 22.83°, intensity 92, hkl 1 0 -2
- 33.97°, intensity 69, hkl 2 0 0
- 34.22°, intensity 99, hkl 0 2 4
- 34.39°, intensity 27, hkl 1 -2 2
- 37.77°, intensity 27, hkl 1 -3 0
- 39.76°, intensity 28, hkl 0 3 -2
- 40.50°, intensity 41, hkl 2 2 0

Crystal structure
```
data_Li3Mn4B4O12
_cell_length_a 5.2732
_cell_length_b 8.2684
_cell_length_c 11.7958
_cell_angle_alpha 77.97
_cell_angle_beta 89.95
_cell_angle_gamma 88.95
_space_group_name_H-M_alt 'P -1'
_space_group_IT_number 2
_space_group_name_Hall '-P 1'
loop_
_atom_site_label
_atom_site_type_symbol
_atom_site_fract_x
_atom_site_fract_y
_atom_site_fract_z
Li1 Li 0.1539 0.2271 0.4799
Li2 Li 0.1617 0.2268 0.9692
Li3 Li 0.3420 0.2806 0.2693
Mn1 Mn 0.1826 0.5749 0.8368
Mn2 Mn 0.1834 0.5894 0.3293
Mn3 Mn 0.3219 0.9271 0.9082
Mn4 Mn 0.3313 0.9232 0.4070
B1 B 0.1686 0.9029 0.6658
B2 B 0.1771 0.9136 0.1639
B3 B 0.3232 0.6037 0.5839
B4 B 0.3282 0.5900 0.0755
O1 O 0.0758 0.1138 0.8445
O2 O 0.0872 0.1250 0.3375
O3 O 0.1777 0.6826 0.9846
O4 O 0.1823 0.5141 0.6749
O5 O 0.1861 0.6876 0.4864
O6 O 0.2052 0.4869 0.1674
O7 O 0.2886 0.0109 0.5757
O8 O 0.3011 0.0226 0.0744
O9 O 0.3152 0.8269 0.2579
O10 O 0.3179 0.8145 0.7579
O11 O 0.4152 0.3907 0.9248
O12 O 0.4181 0.3803 0.4090
```

***

The following is a calculated X-ray powder pattern of TiFe3O6. It was derived from a cell relaxed with GGA+U, using λ = 1.5418 Å (Cu Kα).

Principal peaks in the range 2θ = 10–80°, low angle first:
- 18.08°, intensity 24, hkl 1 1 -1
- 29.47°, intensity 28, hkl 1 2 0
- 29.58°, intensity 23, hkl 2 1 0
- 29.85°, intensity 22, hkl 1 1 -4
- 34.66°, intensity 100, hkl 1 1 5
- 34.76°, intensity 44, hkl 1 -1 3
- 34.98°, intensity 44, hkl 1 2 -3
- 42.40°, intensity 23, hkl 2 0 -4
- 61.03°, intensity 33, hkl 2 -2 0
- 61.16°, intensity 32, hkl 2 0 8

Crystal structure
```
data_TiFe3O6
_cell_length_a 6.0401
_cell_length_b 6.0641
_cell_length_c 14.7731
_cell_angle_alpha 89.12
_cell_angle_beta 89.20
_cell_angle_gamma 60.22
_space_group_name_H-M_alt 'P 1'
_space_group_IT_number 1
_space_group_name_Hall 'P 1'
loop_
_atom_site_label
_atom_site_type_symbol
_atom_site_fract_x
_atom_site_fract_y
_atom_site_fract_z
Ti1 Ti 0.0000 0.0000 0.0000
Ti2 Ti 0.0090 0.5108 0.4798
Ti3 Ti 0.4981 0.4917 0.0000
Ti4 Ti 0.6423 0.6584 0.3199
Fe1 Fe 0.1526 0.1583 0.3244
Fe2 Fe 0.3182 0.8344 0.1627
Fe3 Fe 0.3237 0.3288 0.6618
Fe4 Fe 0.3236 0.8181 0.7919
Fe5 Fe 0.3277 0.8392 0.5331
Fe6 Fe 0.6462 0.1519 0.8336
Fe7 Fe 0.6649 0.1556 0.4478
Fe8 Fe 0.6693 0.1544 0.2053
Fe9 Fe 0.8241 0.8298 0.6606
Fe10 Fe 0.8257 0.3266 0.6599
Fe11 Fe 0.9814 0.4890 0.1225
Fe12 Fe 0.9942 0.5074 0.8719
O1 O 0.0184 0.0090 0.2447
O2 O 0.1329 0.1598 0.0696
O3 O 0.1376 0.1852 0.5776
O4 O 0.1414 0.6622 0.5747
O5 O 0.1600 0.6638 0.0673
O6 O 0.2933 0.3268 0.4129
O7 O 0.3136 0.8150 0.9200
O8 O 0.3405 0.3515 0.9093
O9 O 0.3493 0.8371 0.4074
O10 O 0.4880 0.9823 0.2541
O11 O 0.5047 0.9922 0.7482
O12 O 0.5088 0.5122 0.2522
O13 O 0.5116 0.4734 0.7464
O14 O 0.6423 0.6377 0.0733
O15 O 0.6728 0.1537 0.5901
O16 O 0.6743 0.1740 0.0614
O17 O 0.6805 0.6533 0.5823
O18 O 0.8155 0.3197 0.9155
O19 O 0.8257 0.7968 0.4139
O20 O 0.8352 0.3590 0.4084
O21 O 0.8460 0.8492 0.9095
O22 O 0.9716 0.0042 0.7430
O23 O 0.9725 0.4947 0.2485
O24 O 0.9801 0.5046 0.7395
```

***

The following is a calculated X-ray powder pattern of Li9Mn2Co5O16. It was derived from a cell relaxed with GGA+U, using λ = 1.5418 Å (Cu Kα).

Principal peaks in the range 2θ = 10–80°, low angle first:
- 18.44°, intensity 100, hkl 0 1 -2
- 33.96°, intensity 21, hkl -1 1 2
- 36.69°, intensity 12, hkl 1 1 2
- 37.03°, intensity 15, hkl 0 1 6
- 40.69°, intensity 36, hkl 1 -2 0
- 44.74°, intensity 26, hkl 1 2 0
- 45.20°, intensity 25, hkl 0 0 8
- 61.78°, intensity 9, hkl 2 0 0
- 62.34°, intensity 8, hkl 0 4 0
- 62.57°, intensity 8, hkl 1 -2 8

Crystal structure
```
data_Li9Mn2Co5O16
_cell_length_a 3.0159
_cell_length_b 5.9829
_cell_length_c 16.0516
_cell_angle_alpha 90.62
_cell_angle_beta 90.98
_cell_angle_gamma 95.16
_space_group_name_H-M_alt 'P 1'
_space_group_IT_number 1
_space_group_name_Hall 'P 1'
loop_
_atom_site_label
_atom_site_type_symbol
_atom_site_fract_x
_atom_site_fract_y
_atom_site_fract_z
Li1 Li 0.0000 0.0000 0.0000
Li2 Li 0.9996 0.4982 0.2508
Li3 Li 0.0016 0.5032 0.7494
Li4 Li 0.4984 0.7481 0.3768
Li5 Li 0.4994 0.2483 0.1262
Li6 Li 0.5003 0.2476 0.6259
Li7 Li 0.4998 0.7490 0.6265
Li8 Li 0.5006 0.7482 0.8756
Li9 Li 0.9969 0.9917 0.5042
Mn1 Mn 0.4985 0.2480 0.3776
Mn2 Mn 0.4994 0.7475 0.1255
Co1 Co 0.9999 0.9985 0.2513
Co2 Co 0.0011 0.4949 0.9998
Co3 Co 0.0017 0.9884 0.7467
Co4 Co 0.4980 0.2489 0.8745
Co5 Co 0.9951 0.5105 0.5068
O1 O 0.0046 0.4947 0.6147
O2 O 0.0211 0.0055 0.3705
O3 O 0.0217 0.5037 0.1200
O4 O 0.0226 0.0123 0.8664
O5 O 0.4755 0.7358 0.0036
O6 O 0.4759 0.2375 0.2554
O7 O 0.4768 0.2345 0.7568
O8 O 0.4798 0.7301 0.5015
O9 O 0.5214 0.7669 0.7517
O10 O 0.5233 0.2585 0.9942
O11 O 0.5229 0.2602 0.4980
O12 O 0.5231 0.7597 0.2476
O13 O 0.9761 0.9918 0.1314
O14 O 0.9770 0.4828 0.8815
O15 O 0.9792 0.4909 0.3858
O16 O 0.9962 0.0027 0.6386
```

***

The following is a calculated X-ray powder pattern of Li5Fe2B2O8. It was derived from a cell relaxed with GGA+U, using λ = 1.5418 Å (Cu Kα).

Principal peaks in the range 2θ = 10–80°, low angle first:
- 13.37°, intensity 81, hkl 1 0 0
- 18.98°, intensity 36, hkl 0 1 1
- 23.93°, intensity 36, hkl 0 1 2
- 26.40°, intensity 100, hkl 1 1 -2
- 28.59°, intensity 20, hkl 1 1 2
- 29.87°, intensity 32, hkl 2 0 -2
- 33.76°, intensity 15, hkl 0 0 4
- 34.58°, intensity 15, hkl 2 1 -2
- 34.82°, intensity 44, hkl 1 1 3
- 45.82°, intensity 21, hkl 2 2 1

Crystal structure
```
data_Li5Fe2B2O8
_cell_length_a 6.6822
_cell_length_b 5.2076
_cell_length_c 10.7070
_cell_angle_alpha 90.00
_cell_angle_beta 97.51
_cell_angle_gamma 90.00
_space_group_name_H-M_alt 'P 1 c 1'
_space_group_IT_number 7
_space_group_name_Hall 'P -2yc'
loop_
_atom_site_label
_atom_site_type_symbol
_atom_site_fract_x
_atom_site_fract_y
_atom_site_fract_z
Li1 Li 0.0000 0.0706 0.0000
Li2 Li 0.0102 0.3436 0.8481
Li3 Li 0.1234 0.0870 0.2661
Li4 Li 0.6781 0.4196 0.1056
Li5 Li 0.7648 0.3478 0.3967
Fe1 Fe 0.3986 0.0972 0.5305
Fe2 Fe 0.4072 0.3977 0.8252
B1 B 0.0841 0.4350 0.6158
B2 B 0.7126 0.0866 0.7472
O1 O 0.1484 0.4425 0.2293
O2 O 0.1501 0.1769 0.6081
O3 O 0.2640 0.1134 0.9041
O4 O 0.5220 0.3825 0.4716
O5 O 0.6071 0.0604 0.1511
O6 O 0.6779 0.3535 0.7561
O7 O 0.8585 0.0220 0.3332
O8 O 0.9564 0.4499 0.0216
```

***

The following is a calculated X-ray powder pattern of WOF3. It was derived from a cell relaxed with GGA+U, using λ = 1.5418 Å (Cu Kα).

Principal peaks in the range 2θ = 10–80°, low angle first:
- 13.48°, intensity 60, hkl 0 2 0
- 21.39°, intensity 100, hkl 3 1 0
- 25.34°, intensity 58, hkl 1 1 1
- 27.13°, intensity 32, hkl 2 0 1
- 36.17°, intensity 17, hkl 4 0 -1
- 37.48°, intensity 19, hkl 3 3 1
- 38.77°, intensity 43, hkl 4 4 0
- 46.90°, intensity 18, hkl 3 5 1
- 53.04°, intensity 24, hkl 3 7 0
- 63.26°, intensity 16, hkl 4 4 2

Crystal structure
```
data_WOF3
_cell_length_a 13.1122
_cell_length_b 13.1599
_cell_length_c 3.7965
_cell_angle_alpha 90.00
_cell_angle_beta 90.04
_cell_angle_gamma 90.00
_space_group_name_H-M_alt 'C 1 m 1'
_space_group_IT_number 8
_space_group_name_Hall 'C -2y'
loop_
_atom_site_label
_atom_site_type_symbol
_atom_site_fract_x
_atom_site_fract_y
_atom_site_fract_z
W1 W 0.0000 0.0000 0.0000
W2 W 0.1324 0.3688 0.5174
W3 W 0.2639 0.0000 0.0000
O1 O 0.0026 0.0000 0.4999
O2 O 0.1326 0.3749 0.0170
O3 O 0.2574 0.0000 0.5003
F1 F 0.0255 0.2742 0.5170
F2 F 0.0416 0.5000 0.5159
F3 F 0.1312 0.0908 0.0008
F4 F 0.2241 0.5000 0.5167
F5 F 0.2399 0.2744 0.5176
F6 F 0.3586 0.1062 0.0005
F7 F 0.4119 0.3890 0.9993
```

***

The following is a calculated X-ray powder pattern of CaNiF4. It was derived from a cell relaxed with GGA+U, using λ = 1.5418 Å (Cu Kα).

Principal peaks in the range 2θ = 10–80°, low angle first:
- 23.28°, intensity 8, hkl 2 0 -1
- 28.84°, intensity 100, hkl 2 0 0
- 33.15°, intensity 7, hkl 2 2 -1
- 38.20°, intensity 10, hkl 1 3 0
- 47.59°, intensity 22, hkl 0 4 0
- 48.19°, intensity 50, hkl 2 2 -3
- 56.61°, intensity 26, hkl 2 4 0
- 57.67°, intensity 12, hkl 0 2 3
- 77.01°, intensity 5, hkl 6 0 -4
- 77.92°, intensity 10, hkl 4 2 1

Crystal structure
```
data_CaNiF4
_cell_length_a 7.6430
_cell_length_b 7.6430
_cell_length_c 6.5174
_cell_angle_alpha 90.00
_cell_angle_beta 125.90
_cell_angle_gamma 90.00
_space_group_name_H-M_alt 'C 1 m 1'
_space_group_IT_number 8
_space_group_name_Hall 'C -2y'
loop_
_atom_site_label
_atom_site_type_symbol
_atom_site_fract_x
_atom_site_fract_y
_atom_site_fract_z
Ca1 Ca 0.0000 0.2500 0.0000
Ni1 Ni 0.0000 0.0000 0.5000
Ni2 Ni 0.0000 0.5000 0.5000
F1 F 0.0570 0.0000 0.2376
F2 F 0.1205 0.3086 0.7411
F3 F 0.1881 0.5000 0.2589
F4 F 0.3119 0.0000 0.7411
F5 F 0.3795 0.1914 0.2589
F6 F 0.4291 0.5000 0.7411
```

***

The following is a calculated X-ray powder pattern of Rb2VP2O8. It was derived from a cell relaxed with GGA+U, using λ = 1.5418 Å (Cu Kα).

Principal peaks in the range 2θ = 10–80°, low angle first:
- 23.89°, intensity 68, hkl 1 2 1
- 24.79°, intensity 18, hkl 2 0 0
- 25.55°, intensity 100, hkl 1 1 3
- 26.61°, intensity 54, hkl 1 2 2
- 28.60°, intensity 29, hkl 0 1 4
- 29.90°, intensity 68, hkl 2 1 2
- 31.58°, intensity 24, hkl 2 2 0
- 32.08°, intensity 35, hkl 0 3 2
- 32.38°, intensity 17, hkl 1 3 1
- 41.22°, intensity 29, hkl 1 2 5

Crystal structure
```
data_Rb2VP2O8
_cell_length_a 7.1833
_cell_length_b 9.2248
_cell_length_c 13.2683
_cell_angle_alpha 90.00
_cell_angle_beta 90.00
_cell_angle_gamma 90.00
_space_group_name_H-M_alt 'P 21 21 21'
_space_group_IT_number 19
_space_group_name_Hall 'P 2ac 2ab'
loop_
_atom_site_label
_atom_site_type_symbol
_atom_site_fract_x
_atom_site_fract_y
_atom_site_fract_z
Rb1 Rb 0.2288 0.1700 0.4111
Rb2 Rb 0.2329 0.6107 0.5894
V1 V 0.2450 0.2455 0.8055
P1 P 0.0106 0.0285 0.6533
P2 P 0.0850 0.0072 0.1649
O1 O 0.0160 0.6522 0.3162
O2 O 0.0277 0.9218 0.0738
O3 O 0.0506 0.5580 0.9530
O4 O 0.0574 0.1715 0.7104
O5 O 0.0903 0.9197 0.2650
O6 O 0.1258 0.4393 0.7814
O7 O 0.1746 0.1988 0.9172
O8 O 0.2009 0.9315 0.6514
```

***

- What is the formula in the first record?
  LaSm3Fe4O12